Structure and theoretical powder diffractogram of SmPaTe2Se (the PBE geometry in Alexandria; Cu Kα).
No peak broadening, texture or thermal motion is included.

Principal peaks in the range 15° ≤ 2θ ≤ 90°, by angle:
index, two_theta, I/Imax
1 0 2, 23.5, 28
0 0 4, 23.9, 26
1 1 0, 28.7, 100
1 0 4, 31.5, 28
1 1 3, 34.0, 27
1 0 5, 36.4, 42
1 1 4, 37.7, 73
2 0 0, 41.0, 64
1 0 9, 59.6, 27
2 1 9, 74.9, 27

Structural model:
a b c (Å): 4.398 4.398 14.916
angles (deg): 90.00 90.00 90.00
Space group P4/nmm (No. 129, origin choice 2)
Unique sites:
1 Sm 0.250 0.250 0.086
2 Pa 0.250 0.250 0.629
3 Te 0.250 0.250 0.299
4 Te 0.250 0.250 0.872
5 Se 0.250 0.750 0.500

Structure and theoretical powder diffractogram of Sm2PaTl2Se6 (the PBE geometry in Alexandria; Cu Kα).
No peak broadening, texture or thermal motion is included.

Principal peaks in the range 15° ≤ 2θ ≤ 90°, by angle:
index, two_theta, I/Imax
0 2 1, 18.0, 13
1 3 -1, 25.5, 22
2 0 -2, 28.7, 50
1 3 1, 28.8, 100
1 3 -3, 39.3, 37
2 0 2, 39.4, 19
0 6 0, 42.8, 54
4 0 0, 52.4, 28
3 3 3, 65.0, 14
4 6 0, 69.9, 16

Structural model:
a b c (Å): 7.331 12.669 8.203
angles (deg): 90.00 107.57 90.00
Space group C2/m (No. 12)
Unique sites:
1 Sm 0.000 0.167 0.000
2 Pa 0.000 0.500 0.000
3 Tl 0.000 0.332 0.500
4 Se 0.231 0.337 0.204
5 Se 0.246 0.000 0.206

Structure and theoretical powder diffractogram of SmPaTl2Se4 (the PBE geometry in Alexandria; Cu Kα).
No peak broadening, texture or thermal motion is included.

Principal peaks in the range 15° ≤ 2θ ≤ 90°, by angle:
index, two_theta, I/Imax
0 0 2, 22.5, 13
1 1 -1, 25.7, 16
1 1 1, 28.8, 100
2 0 2, 39.0, 13
1 1 -3, 39.3, 26
3 1 -1, 43.1, 23
0 2 0, 43.3, 12
2 2 -2, 52.8, 13
2 2 2, 59.7, 12
4 2 0, 70.3, 11

Structural model:
a b c (Å): 7.289 4.183 8.263
angles (deg): 90.00 106.75 90.00
Space group P2/m (No. 10)
Unique sites:
1 Sm 0.000 0.000 0.000
2 Pa 0.500 0.500 0.000
3 Tl 0.000 0.500 0.500
4 Tl 0.500 0.000 0.500
5 Se 0.242 0.500 0.209
6 Se 0.270 0.000 0.791